[1]
# PrYZn2Ge2
Computed PXRD pattern, Cu Ka. Input: a crystal structure in OQMD, relaxed with PBE.
No peak broadening, texture or thermal motion is included.

Structural model:
abc: 4.2749 4.2749 16.1155
angles: 90.00 90.00 120.00
Sites, in units of the cell vectors:
Pr  0.0000  0.0000  0.2500
Pr  0.0000  0.0000  0.7500
Y  0.0000  0.0000  0.0000
Y  0.0000  0.0000  0.5000
Zn  0.3333  0.6667  0.1392
Zn  0.3333  0.6667  0.3608
Zn  0.6667  0.3333  0.6392
Zn  0.6667  0.3333  0.8608
Ge  0.3333  0.6667  0.6105
Ge  0.3333  0.6667  0.8895
Ge  0.6667  0.3333  0.1105
Ge  0.6667  0.3333  0.3895

Top 8 peaks for 10 to 90 degrees two-theta, by angle:
Position (°2θ)  intensity  hkl
24.04  6  1 0 0
32.85  100  1 0 4
42.28  50  1 1 0
45.00  10  0 0 8
54.56  23  2 0 4
63.45  22  1 1 8
71.35  20  2 1 4
77.32  8  3 0 0


[2]
# Pr2Zn3Ge5
Computed PXRD pattern, Cu Ka. Input: a crystal structure in OQMD, relaxed with PBE.
No peak broadening, texture or thermal motion is included.

Structural model:
abc: 6.4525 8.6481 8.6719
angles: 71.04 69.00 68.90
Sites, in units of the cell vectors:
Pr  0.0000  0.0000  0.0000
Pr  0.2463  0.2565  0.2536
Pr  0.5026  0.4816  0.5170
Pr  0.7492  0.7371  0.7709
Zn  0.0067  0.3442  0.6449
Zn  0.1250  0.8708  0.3853
Zn  0.2425  0.6112  0.9119
Zn  0.5060  0.1258  0.8597
Zn  0.6236  0.8700  0.3856
Zn  0.7417  0.3949  0.1248
Ge  0.1255  0.3687  0.8865
Ge  0.2689  0.8268  0.6427
Ge  0.3553  0.6379  0.1575
Ge  0.3926  0.1003  0.6139
Ge  0.4808  0.9102  0.1287
Ge  0.6234  0.3686  0.8840
Ge  0.7682  0.1271  0.3428
Ge  0.8559  0.6396  0.1547
Ge  0.8931  0.0983  0.6169
Ge  0.9804  0.6132  0.4278

Top 8 peaks for 10 to 90 degrees two-theta, by angle:
Position (°2θ)  intensity  hkl
32.99  99  2 2 0
33.16  55  1 1 -2
33.40  100  0 1 3
33.52  44  0 3 1
39.54  60  -2 1 1
40.30  56  2 3 3
49.60  18  1 -3 2
57.11  22  4 2 2